Record 1
Simulated X-ray powder pattern of NaAcPbO for copper Kα, from a cell relaxed with GGA-PBE.
Lines closer than 0.1° are merged.

Cell and atoms:
a b c (Å): 3.552 3.552 15.981
angles (deg): 90.00 90.00 90.00
Fractional positions:
Na (0.000, 0.000, 0.000)
Na (0.500, 0.500, 0.500)
Ac (0.000, 0.000, 0.692)
Ac (0.500, 0.500, 0.192)
Pb (0.000, 0.000, 0.369)
Pb (0.500, 0.500, 0.869)
O (0.000, 0.000, 0.147)
O (0.500, 0.500, 0.647)

The 12 most intense peaks (2θ from 10° to 90°), low angle first:
2θ/deg	intensity
11.07	35
22.25	19
25.69	28
30.24	100
33.65	18
35.75	37
42.52	14
47.33	13
49.91	24
51.46	13
58.08	15
60.86	29

***

Record 2
Simulated X-ray powder pattern of Na4Ac3PdO8 for copper Kα, from a cell relaxed with GGA-PBE.
Lines closer than 0.1° are merged.

Cell and atoms:
a b c (Å): 7.488 7.488 6.798
angles (deg): 115.43 115.43 56.14
Fractional positions:
Na (0.000, 0.000, 0.000)
Na (0.000, 0.500, 0.500)
Na (0.500, 0.000, 0.500)
Na (0.500, 0.500, 0.000)
Ac (0.000, 0.000, 0.500)
Ac (0.000, 0.500, 0.000)
Ac (0.500, 0.000, 0.000)
Pd (0.500, 0.500, 0.500)
O (0.195, 0.195, 0.181)
O (0.218, 0.218, 0.716)
O (0.264, 0.679, 0.265)
O (0.321, 0.736, 0.735)
O (0.679, 0.264, 0.265)
O (0.736, 0.321, 0.735)
O (0.782, 0.782, 0.284)
O (0.805, 0.805, 0.819)

The 12 most intense peaks (2θ from 10° to 90°), low angle first:
2θ/deg	intensity
15.34	100
26.25	26
29.48	37
29.70	50
30.09	23
30.98	57
36.75	47
37.31	19
48.22	20
48.66	23
49.39	18
61.68	16

***

Record 3
Simulated X-ray powder pattern of NaAcPuO6 for copper Kα, from a cell relaxed with GGA-PBE.
Lines closer than 0.1° are merged.

Cell and atoms:
a b c (Å): 5.735 5.735 5.186
angles (deg): 90.00 90.00 120.00
Fractional positions:
Na (0.000, 0.000, 0.000)
Ac (0.667, 0.333, 0.500)
Pu (0.333, 0.667, 0.000)
O (0.047, 0.384, 0.216)
O (0.047, 0.664, 0.784)
O (0.336, 0.384, 0.784)
O (0.336, 0.953, 0.216)
O (0.616, 0.664, 0.216)
O (0.616, 0.953, 0.784)

The 12 most intense peaks (2θ from 10° to 90°), low angle first:
2θ/deg	intensity
17.86	32
24.82	100
31.19	34
40.27	28
47.26	31
51.80	28
55.51	11
56.36	10
67.08	8
70.77	11
74.64	10
75.83	9